# Na3YSi2SnSO12
Simulated powder XRD pattern, Cu Kα X-rays. Input: the GGA-PBE geometry in the Materials Project.

Structural model:
```
40
Lattice="8.0116 -4.6603 0.0000 8.0116 4.6603 0.0000 -5.5964 0.0000 7.6535" Properties=species:S:1:pos:R:3 pbc="T T T"
Na 5.2134 4.0610 3.8268
Na 2.4895 2.5107 5.8923
Na 5.6986 0.6280 0.0815
Na 2.9004 -0.6280 3.9083
Na 5.2877 -2.5107 2.0656
Na 8.0116 -4.0610 0.0000
Y 2.7586 2.4010 2.5545
Y -0.0396 -2.4010 6.3813
Si 0.0618 0.4575 4.0836
Si 2.8600 -0.4575 0.2568
Si 10.5259 1.0119 4.1544
Si 13.3241 -1.0119 0.3277
Sn 8.2985 2.4854 1.6986
Sn 5.5003 -2.4854 5.5254
S 5.7533 0.8263 3.9470
S 8.5515 -0.8263 0.1203
O -2.9855 0.5043 6.5440
O 1.4211 1.3386 4.0011
O 6.7657 2.7574 0.3377
O -0.1873 -0.5043 2.7173
O 2.9378 0.4634 1.5793
O 9.4491 3.3130 0.2453
O 4.4024 1.4618 3.9021
O 0.1396 -0.4634 5.4061
O 4.2193 -1.3386 0.1743
O 6.5461 1.0968 2.7240
O 8.3640 0.6453 0.2548
O 6.3950 1.3996 5.1399
O 9.7678 1.7267 2.8239
O 5.5658 -0.6453 4.0815
O 7.2006 -1.4618 0.0754
O 3.7479 -1.0968 6.5508
O 9.7044 1.2798 5.5040
O 3.9675 -2.7574 4.1644
O 9.1932 -1.3996 1.3131
O 13.6811 0.5614 0.1795
O 10.8829 -0.5614 4.0062
O 6.9696 -1.7267 6.6507
O 6.6509 -3.3130 4.0720
O 12.5026 -1.2798 1.6772
```

Principal peaks in the range 15 to 90 degrees two-theta, sorted by position:
- 2θ = 18.7°, 4.741 Å, rel. 57
- 2θ = 19.1°, 4.645 Å, rel. 100
- 2θ = 19.2°, 4.632 Å, rel. 79
- 2θ = 26.8°, 3.323 Å, rel. 43
- 2θ = 29.9°, 2.993 Å, rel. 51
- 2θ = 30.2°, 2.957 Å, rel. 61
- 2θ = 30.7°, 2.909 Å, rel. 54
- 2θ = 33.4°, 2.685 Å, rel. 74